# LaHoSc2
Theoretical powder diffraction line list, λ = 1.5418 Å (Cu Kα). Input: the GGA-PBE geometry in Alexandria.
No peak broadening, texture or thermal motion is included.

Most intense lines, 2θ = 10–90°, in order of rising 2θ:
| Position (°2θ) | d (Å) | I/Imax | hkl |
| --- | --- | --- | --- |
| 16.1 | 5.500 | 37 | 0 0 2 |
| 29.8 | 3.000 | 39 | 1 0 0 |
| 32.6 | 2.750 | 24 | 0 0 4 |
| 34.0 | 2.634 | 100 | 0 1 2 |
| 44.7 | 2.027 | 26 | 1 0 4 |
| 52.9 | 1.732 | 18 | 1 1 0 |
| 59.0 | 1.564 | 20 | 0 1 6 |
| 63.5 | 1.466 | 20 | 1 1 4 |

```
data_LaHoSc2
_chemical_formula_sum 'La1 Ho1 Sc2'
_symmetry_space_group_name_H-M 'P -3 m 1'
_symmetry_Int_Tables_number 164
_symmetry_space_group_name_Hall '-P 3 2"'
_cell_length_a 3.4646
_cell_length_b 3.4646
_cell_length_c 11.0000
_cell_angle_alpha 90.00
_cell_angle_beta 90.00
_cell_angle_gamma 120.00
loop_
_atom_site_label
_atom_site_type_symbol
_atom_site_fract_x
_atom_site_fract_y
_atom_site_fract_z
_atom_site_occupancy
La1 La 0.0000 0.0000 0.0000 1
Ho1 Ho 0.0000 0.0000 0.5000 1
Sc1 Sc 0.3333 0.6667 0.7463 1
```


# LaPmNd2Tm2
Theoretical powder diffraction line list, λ = 1.5418 Å (Cu Kα). Input: the GGA-PBE geometry in Alexandria.
No peak broadening, texture or thermal motion is included.

Most intense lines, 2θ = 10–90°, in order of rising 2θ:
| Position (°2θ) | d (Å) | I/Imax | hkl |
| --- | --- | --- | --- |
| 31.0 | 2.884 | 87 | 2 2 0 |
| 31.2 | 2.871 | 100 | 0 3 1 |
| 40.5 | 2.230 | 14 | 2 3 1 |
| 44.5 | 2.035 | 32 | 2 4 0 |
| 55.4 | 1.660 | 41 | 0 6 0 |
| 61.5 | 1.507 | 29 | 4 3 1 |
| 73.7 | 1.285 | 14 | 2 5 3 |
| 79.2 | 1.210 | 14 | 4 6 0 |

```
data_LaPmNd2Tm2
_chemical_formula_sum 'La2 Pm2 Nd4 Tm4'
_symmetry_space_group_name_H-M 'P n n m'
_symmetry_Int_Tables_number 58
_cell_length_a 7.080
_cell_length_b 9.951
_cell_length_c 5.739
_cell_angle_alpha 90.00
_cell_angle_beta 90.00
_cell_angle_gamma 90.00
loop_
_symmetry_equiv_pos_as_xyz
'x,y,z'
'-x,-y,-z'
'-x,-y,z'
'x,y,-z'
'x+1/2,-y+1/2,-z+1/2'
'-x+1/2,y+1/2,z+1/2'
'-x+1/2,y+1/2,-z+1/2'
'x+1/2,-y+1/2,z+1/2'
loop_
_atom_site_label
_atom_site_type_symbol
_atom_site_fract_x
_atom_site_fract_y
_atom_site_fract_z
_atom_site_occupancy
La1 La 0.000 0.000 0.000 1
Pm1 Pm 0.000 0.500 0.500 1
Nd1 Nd 0.248 0.333 0.000 1
Tm1 Tm 0.250 0.166 0.500 1
```


# LaPm4HoTm2
Theoretical powder diffraction line list, λ = 1.5418 Å (Cu Kα). Input: the GGA-PBE geometry in Alexandria.
No peak broadening, texture or thermal motion is included.

Most intense lines, 2θ = 10–90°, in order of rising 2θ:
| Position (°2θ) | d (Å) | I/Imax | hkl |
| --- | --- | --- | --- |
| 30.3 | 2.947 | 100 | 1 1 2 |
| 35.1 | 2.556 | 34 | 0 2 0 |
| 35.3 | 2.543 | 17 | 4 0 0 |
| 50.5 | 1.807 | 12 | 2 2 -4 |
| 50.6 | 1.803 | 24 | 4 2 0 |
| 60.0 | 1.541 | 29 | 1 3 2 |
| 60.3 | 1.535 | 14 | 5 1 2 |
| 63.1 | 1.473 | 12 | 6 2 -4 |

```
data_LaPm4HoTm2
_chemical_formula_sum 'La2 Pm8 Ho2 Tm4'
_symmetry_space_group_name_H-M 'C 1 2/m 1'
_symmetry_Int_Tables_number 12
_cell_length_a 11.390
_cell_length_b 5.110
_cell_length_c 10.229
_cell_angle_alpha 90.00
_cell_angle_beta 116.73
_cell_angle_gamma 90.00
loop_
_symmetry_equiv_pos_as_xyz
'x,y,z'
'-x,-y,-z'
'-x,y,-z'
'x,-y,z'
'x+1/2,y+1/2,z'
'-x+1/2,-y+1/2,-z'
'-x+1/2,y+1/2,-z'
'x+1/2,-y+1/2,z'
loop_
_atom_site_label
_atom_site_type_symbol
_atom_site_fract_x
_atom_site_fract_y
_atom_site_fract_z
_atom_site_occupancy
La1 La 0.000 0.000 0.000 1
Pm1 Pm 0.249 0.000 0.873 1
Pm2 Pm 0.249 0.500 0.623 1
Ho1 Ho 0.000 0.000 0.500 1
Tm1 Tm 0.000 0.500 0.254 1
```


# PmPuPa
Theoretical powder diffraction line list, λ = 1.5418 Å (Cu Kα). Input: the GGA-PBE geometry in Alexandria.
No peak broadening, texture or thermal motion is included.

Most intense lines, 2θ = 10–90°, in order of rising 2θ:
| Position (°2θ) | d (Å) | I/Imax | hkl |
| --- | --- | --- | --- |
| 10.7 | 8.265 | 17 | 0 0 1 |
| 32.2 | 2.782 | 100 | 1 0 1 |
| 32.5 | 2.755 | 29 | 0 0 3 |
| 37.4 | 2.404 | 70 | 0 1 2 |
| 53.7 | 1.706 | 24 | 1 1 0 |
| 54.2 | 1.693 | 21 | 1 0 4 |
| 64.0 | 1.454 | 14 | 0 2 1 |
| 64.2 | 1.450 | 26 | 1 1 3 |

```
data_PmPuPa
_chemical_formula_sum 'Pm1 Pu1 Pa1'
_symmetry_space_group_name_H-M 'P 3 m 1'
_symmetry_Int_Tables_number 156
_cell_length_a 3.4119
_cell_length_b 3.4119
_cell_length_c 8.2647
_cell_angle_alpha 90.00
_cell_angle_beta 90.00
_cell_angle_gamma 120.00
loop_
_symmetry_equiv_pos_as_xyz
'x,y,z'
'-y,x-y,z'
'-x+y,-x,z'
'-y,-x,z'
'-x+y,y,z'
'x,x-y,z'
loop_
_atom_site_label
_atom_site_type_symbol
_atom_site_fract_x
_atom_site_fract_y
_atom_site_fract_z
_atom_site_occupancy
Pm1 Pm 0.0000 0.0000 0.0000 1
Pu1 Pu 0.6667 0.3333 0.3658 1
Pa1 Pa 0.3333 0.6667 0.6630 1
```